# Ir2OsW2
Theoretical PXRD pattern, Cu Kα (weighted mean of Kα1 and Kα2). Input: the GGA-PBE geometry in Alexandria.

Crystal structure
```
Ir2OsW2
1.0
8.7529 0.0000 0.0000
0.0000 3.9113 0.0000
-4.3148 0.0000 4.4098
Ir Os W
4 2 4
Cartesian
1.3121 0.0000 0.4391
-1.2505 1.9556 3.9708
5.6885 1.9556 0.4391
3.1260 0.0000 3.9708
-2.1574 0.0000 2.2049
2.2190 1.9556 2.2049
-0.4809 1.9556 1.3038
0.5425 0.0000 3.1060
3.8956 0.0000 1.3038
4.9189 1.9556 3.1060
```

Top 8 peaks for 10° ≤ 2θ ≤ 90°, in order of rising 2θ:
hkl  2θ (°)  I/Imax
1 1 -2  39.8  100.0
2 0 1  45.8  16.8
0 2 0  46.4  16.3
4 0 -3  46.6  16.0
2 2 1  67.3  16.0
4 2 -3  67.9  10.5
1 1 3  80.7  6.6
1 3 -2  81.6  12.9